Entry 1:
This entry pairs a crystal structure of NbAs3 with its theoretical X-ray powder pattern. Radiation: Cu Kα X-rays. Structure: DFT lattice parameters and positions (PBE).
Peak positions follow from Bragg's law for the DFT cell and can differ from measured ones.

Structural model:
```
data_NbAs3
_cell_length_a 3.979
_cell_length_b 3.979
_cell_length_c 9.135
_cell_angle_alpha 90.00
_cell_angle_beta 90.00
_cell_angle_gamma 90.00
_space_group_name_H-M_alt 'I 4/m m m'
_space_group_IT_number 139
_space_group_name_Hall '-I 4 2'
loop_
_atom_site_label
_atom_site_fract_x
_atom_site_fract_y
_atom_site_fract_z
_atom_site_occupancy
Nb1 0.000 0.000 0.000 1
As1 0.000 0.000 0.500 1
As2 0.000 0.500 0.250 1
```

Most intense lines, 10° ≤ 2θ ≤ 80°, most intense first:
- 2.396 Å, intensity 100, hkl 1 1 2
- 1.990 Å, intensity 29, hkl 2 0 0
- 1.500 Å, intensity 23, hkl 2 0 4
- 1.213 Å, intensity 22, hkl 3 1 2
- 2.284 Å, intensity 22, hkl 0 0 4
- 1.339 Å, intensity 15, hkl 1 1 6
- 1.407 Å, intensity 9, hkl 2 2 0
- 3.648 Å, intensity 1, hkl 1 0 1


Entry 2:
This entry pairs a crystal structure of NbAs2 with its theoretical X-ray powder pattern. Radiation: Cu Kα X-rays. Structure: DFT lattice parameters and positions (PBE).
Peak positions follow from Bragg's law for the DFT cell and can differ from measured ones.

Structural model:
```
data_NbAs2
_cell_length_a 9.452
_cell_length_b 3.418
_cell_length_c 7.885
_cell_angle_alpha 90.00
_cell_angle_beta 119.39
_cell_angle_gamma 90.00
_space_group_name_H-M_alt 'C 1 2/m 1'
_space_group_IT_number 12
_space_group_name_Hall '-C 2y'
loop_
_atom_site_label
_atom_site_fract_x
_atom_site_fract_y
_atom_site_fract_z
_atom_site_occupancy
Nb1 0.157 0.000 0.196 1
As1 0.095 0.500 0.893 1
As2 0.141 0.000 0.529 1
```

Most intense lines, 10° ≤ 2θ ≤ 80°, most intense first:
- 2.683 Å, intensity 100, hkl 1 1 1
- 2.140 Å, intensity 56, hkl 3 1 0
- 1.989 Å, intensity 42, hkl 3 1 -3
- 2.290 Å, intensity 35, hkl 0 0 3
- 2.309 Å, intensity 34, hkl 3 1 -1
- 2.579 Å, intensity 32, hkl 1 1 -2
- 2.059 Å, intensity 29, hkl 4 0 0
- 1.709 Å, intensity 27, hkl 0 2 0


Entry 3:
This entry pairs a crystal structure of NbAs with its theoretical X-ray powder pattern. Radiation: Cu Kα X-rays. Structure: DFT lattice parameters and positions (PBE).
Peak positions follow from Bragg's law for the DFT cell and can differ from measured ones.

Structural model:
```
data_NbAs
_cell_length_a 3.485
_cell_length_b 3.485
_cell_length_c 11.761
_cell_angle_alpha 90.00
_cell_angle_beta 90.00
_cell_angle_gamma 90.00
_space_group_name_H-M_alt 'I 41 m d'
_space_group_IT_number 109
_space_group_name_Hall 'I 4bw -2'
loop_
_atom_site_label
_atom_site_fract_x
_atom_site_fract_y
_atom_site_fract_z
_atom_site_occupancy
Nb1 0.000 0.000 0.000 1
As1 0.000 0.000 0.418 1
```

Most intense lines, 10° ≤ 2θ ≤ 80°, most intense first:
- 2.273 Å, intensity 100, hkl 1 1 2
- 2.605 Å, intensity 48, hkl 1 0 3
- 1.950 Å, intensity 38, hkl 1 0 5
- 1.742 Å, intensity 29, hkl 2 0 0
- 1.299 Å, intensity 19, hkl 2 1 5
- 2.940 Å, intensity 19, hkl 0 0 4
- 1.513 Å, intensity 17, hkl 1 0 7
- 1.448 Å, intensity 15, hkl 2 1 3


Entry 4:
This entry pairs a crystal structure of Nb3As with its theoretical X-ray powder pattern. Radiation: Cu Kα X-rays. Structure: DFT lattice parameters and positions (PBE).
Peak positions follow from Bragg's law for the DFT cell and can differ from measured ones.

Structural model:
```
data_Nb3As
_cell_length_a 10.376
_cell_length_b 10.376
_cell_length_c 5.242
_cell_angle_alpha 90.00
_cell_angle_beta 90.00
_cell_angle_gamma 90.00
_space_group_name_H-M_alt 'P 42/n'
_space_group_IT_number 86
loop_
_space_group_symop_operation_xyz
'x,y,z'
'-x,-y,-z'
'-y,x+1/2,z+1/2'
'y,-x+1/2,-z+1/2'
'-x+1/2,-y+1/2,z'
'x+1/2,y+1/2,-z'
'y+1/2,-x,z+1/2'
'-y+1/2,x,-z+1/2'
loop_
_atom_site_label
_atom_site_fract_x
_atom_site_fract_y
_atom_site_fract_z
_atom_site_occupancy
Nb1 0.037 0.556 0.241 1
Nb2 0.101 0.239 0.018 1
Nb3 0.156 0.666 0.727 1
As1 0.043 0.229 0.520 1
```

Most intense lines, 10° ≤ 2θ ≤ 80°, most intense first:
- 2.523 Å, intensity 100, hkl 2 3 1
- 2.269 Å, intensity 81, hkl 4 1 1
- 2.468 Å, intensity 74, hkl 1 1 2
- 2.133 Å, intensity 64, hkl 2 2 2
- 2.446 Å, intensity 62, hkl 3 3 0
- 2.321 Å, intensity 59, hkl 2 4 0
- 2.035 Å, intensity 34, hkl 5 1 0
- 1.280 Å, intensity 26, hkl 5 5 2